Diffraction record for Ba2TaFeO6. The PXRD pattern is theoretical, not measured: it uses DFT lattice parameters and positions (PBE+U) and Cu Kα.
No peak broadening, texture or thermal motion is included.

Structure:
Unit cell a=5.800 b=5.800 c=5.800 alpha=60.00 beta=60.00 gamma=60.00
Fractional positions:
1 Ba 0.250 0.250 0.250
2 Ba 0.750 0.750 0.750
3 Ta 0.000 0.000 0.000
4 Fe 0.500 0.500 0.500
5 O 0.246 0.246 0.754
6 O 0.246 0.754 0.246
7 O 0.246 0.754 0.754
8 O 0.754 0.246 0.246
9 O 0.754 0.246 0.754
10 O 0.754 0.754 0.246

Top 8 peaks for 15 to 90 degrees two-theta, most intense first:
- 30.83 deg, I = 100
- 54.83 deg, I = 40
- 44.17 deg, I = 30
- 89.39 deg, I = 22
- 64.24 deg, I = 18
- 72.95 deg, I = 17
- 18.74 deg, I = 15
- 36.33 deg, I = 8

Diffraction record for Fe3Ni2P6WO24. The PXRD pattern is theoretical, not measured: it uses DFT lattice parameters and positions (PBE+U) and Cu Kα.
No peak broadening, texture or thermal motion is included.

Structure:
Unit cell a=8.536 b=8.536 c=8.536 alpha=60.94 beta=60.94 gamma=60.94
Fractional positions:
1 Fe 0.000 0.000 0.000
2 Fe 0.212 0.212 0.212
3 Fe 0.499 0.499 0.499
4 Ni 0.356 0.356 0.356
5 Ni 0.860 0.860 0.860
6 P 0.111 0.394 0.809
7 P 0.305 0.902 0.601
8 P 0.394 0.809 0.111
9 P 0.601 0.305 0.902
10 P 0.809 0.111 0.394
11 P 0.902 0.601 0.305
12 W 0.713 0.713 0.713
13 O 0.034 0.245 0.852
14 O 0.098 0.445 0.302
15 O 0.112 0.914 0.764
16 O 0.168 0.362 0.968
17 O 0.245 0.852 0.034
18 O 0.264 0.414 0.611
19 O 0.302 0.098 0.445
20 O 0.353 0.746 0.533
21 O 0.362 0.968 0.168
22 O 0.414 0.611 0.264
23 O 0.445 0.302 0.098
24 O 0.466 0.855 0.675
25 O 0.533 0.353 0.746
26 O 0.598 0.790 0.946
27 O 0.611 0.264 0.414
28 O 0.675 0.466 0.855
29 O 0.746 0.533 0.353
30 O 0.764 0.112 0.914
31 O 0.790 0.946 0.598
32 O 0.852 0.034 0.245
33 O 0.855 0.675 0.466
34 O 0.914 0.764 0.112
35 O 0.946 0.598 0.790
36 O 0.968 0.168 0.362

Top 8 peaks for 15 to 90 degrees two-theta, most intense first:
- 20.52 deg, I = 100
- 24.25 deg, I = 65
- 33.15 deg, I = 64
- 35.93 deg, I = 39
- 47.51 deg, I = 27
- 20.82 deg, I = 24
- 49.69 deg, I = 24
- 56.22 deg, I = 23

Diffraction record for Li9Mn2Co5O16. The PXRD pattern is theoretical, not measured: it uses DFT lattice parameters and positions (PBE+U) and Cu Kα.
No peak broadening, texture or thermal motion is included.

Structure:
Unit cell a=5.900 b=6.448 c=8.587 alpha=83.11 beta=70.72 gamma=66.20
Fractional positions:
1 Li 0.000 0.000 0.000
2 Li 0.001 0.753 0.741
3 Li 0.008 0.495 0.499
4 Li 0.013 0.244 0.255
5 Li 0.250 0.001 0.499
6 Li 0.483 0.244 0.261
7 Li 0.492 0.501 0.503
8 Li 0.496 0.998 0.002
9 Li 0.502 0.752 0.746
10 Mn 0.247 0.753 0.255
11 Mn 0.757 0.244 0.750
12 Co 0.250 0.497 0.001
13 Co 0.252 0.246 0.747
14 Co 0.740 0.756 0.253
15 Co 0.745 0.501 0.001
16 Co 0.750 0.000 0.502
17 O 0.096 0.032 0.752
18 O 0.134 0.266 0.986
19 O 0.134 0.508 0.238
20 O 0.135 0.748 0.485
21 O 0.356 0.737 0.010
22 O 0.369 0.985 0.247
23 O 0.371 0.243 0.519
24 O 0.395 0.470 0.762
25 O 0.602 0.528 0.241
26 O 0.639 0.261 0.992
27 O 0.640 0.006 0.745
28 O 0.646 0.764 0.484
29 O 0.854 0.239 0.514
30 O 0.858 0.491 0.762
31 O 0.859 0.733 0.016
32 O 0.896 0.973 0.258

Top 8 peaks for 15 to 90 degrees two-theta, most intense first:
- 18.47 deg, I = 100
- 44.74 deg, I = 50
- 42.05 deg, I = 31
- 36.82 deg, I = 23
- 63.05 deg, I = 22
- 34.96 deg, I = 17
- 58.86 deg, I = 10
- 37.46 deg, I = 8

Diffraction record for Li4VTe3O12. The PXRD pattern is theoretical, not measured: it uses DFT lattice parameters and positions (PBE+U) and Cu Kα.
No peak broadening, texture or thermal motion is included.

Structure:
Unit cell a=5.048 b=8.748 c=5.224 alpha=90.00 beta=92.99 gamma=90.00
Fractional positions:
1 Li 0.000 0.000 0.000
2 Li 0.000 0.335 0.500
3 Li 0.500 0.483 0.500
4 Li 0.500 0.888 0.000
5 V 0.500 0.084 0.500
6 Te 0.000 0.586 0.000
7 Te 0.000 0.788 0.500
8 Te 0.500 0.262 0.000
9 O 0.199 0.771 0.831
10 O 0.215 0.625 0.354
11 O 0.239 0.937 0.355
12 O 0.278 0.412 0.821
13 O 0.296 0.248 0.311
14 O 0.307 0.092 0.820
15 O 0.693 0.092 0.180
16 O 0.704 0.248 0.689
17 O 0.722 0.412 0.179
18 O 0.761 0.937 0.645
19 O 0.785 0.625 0.646
20 O 0.801 0.771 0.169

Top 8 peaks for 15 to 90 degrees two-theta, most intense first:
- 20.33 deg, I = 100
- 19.81 deg, I = 36
- 31.55 deg, I = 32
- 32.57 deg, I = 28
- 51.70 deg, I = 19
- 35.26 deg, I = 15
- 55.63 deg, I = 15
- 48.94 deg, I = 12